(1)
This entry pairs a crystal structure of Nd10Er4Sc with its computed X-ray diffraction stick pattern. Radiation: Cu Kα. Structure: a GGA-PBE-relaxed structure.
Neutral-atom scattering factors, no anomalous dispersion.

Atomic structure:
```
data_Nd10Er4Sc
_chemical_formula_sum 'Nd10 Er4 Sc1'
_cell_length_a 8.723
_cell_length_b 8.723
_cell_length_c 8.723
_cell_angle_alpha 111.23
_cell_angle_beta 111.23
_cell_angle_gamma 106.01
_symmetry_space_group_name_H-M 'P 1'
_symmetry_Int_Tables_number 1
loop_
_symmetry_equiv_pos_as_xyz
'x,y,z'
loop_
_atom_site_label
_atom_site_type_symbol
_atom_site_fract_x
_atom_site_fract_y
_atom_site_fract_z
Nd1 Nd 0.046 0.948 0.674
Nd2 Nd 0.052 0.726 0.098
Nd3 Nd 0.250 0.750 0.500
Nd4 Nd 0.274 0.372 0.326
Nd5 Nd 0.372 0.046 0.098
Nd6 Nd 0.628 0.954 0.902
Nd7 Nd 0.726 0.628 0.674
Nd8 Nd 0.750 0.250 0.500
Nd9 Nd 0.948 0.274 0.902
Nd10 Nd 0.954 0.052 0.326
Er1 Er 0.176 0.558 0.734
Er2 Er 0.442 0.176 0.618
Er3 Er 0.558 0.824 0.382
Er4 Er 0.824 0.442 0.266
Sc1 Sc 0.500 0.500 0.000
```

Principal peaks in the range 2θ = 15–90°, low angle first:
- 2θ 27.0, I = 57
- 2θ 28.5, I = 66
- 2θ 28.7, I = 100
- 2θ 32.7, I = 96
- 2θ 33.4, I = 57
- 2θ 33.9, I = 32
- 2θ 41.9, I = 22
- 2θ 44.6, I = 40
- 2θ 59.4, I = 33
- 2θ 60.7, I = 21

(2)
This entry pairs a crystal structure of Pm4Sm15Sc with its computed X-ray diffraction stick pattern. Radiation: Cu Kα. Structure: a GGA-PBE-relaxed structure.
Neutral-atom scattering factors, no anomalous dispersion.

Atomic structure:
```
data_Pm4Sm15Sc
_chemical_formula_sum 'Pm4 Sm15 Sc1'
_cell_length_a 5.118
_cell_length_b 5.118
_cell_length_c 25.528
_cell_angle_alpha 90.00
_cell_angle_beta 90.00
_cell_angle_gamma 90.00
_symmetry_space_group_name_H-M 'P 1'
_symmetry_Int_Tables_number 1
loop_
_symmetry_equiv_pos_as_xyz
'x,y,z'
loop_
_atom_site_label
_atom_site_type_symbol
_atom_site_fract_x
_atom_site_fract_y
_atom_site_fract_z
Pm1 Pm 0.000 0.000 0.101
Pm2 Pm 0.000 0.000 0.303
Pm3 Pm 0.000 0.000 0.697
Pm4 Pm 0.000 0.000 0.899
Sm1 Sm 0.000 0.500 0.000
Sm2 Sm 0.000 0.500 0.202
Sm3 Sm 0.000 0.500 0.404
Sm4 Sm 0.000 0.500 0.596
Sm5 Sm 0.000 0.500 0.798
Sm6 Sm 0.500 0.000 0.000
Sm7 Sm 0.500 0.000 0.202
Sm8 Sm 0.500 0.000 0.404
Sm9 Sm 0.500 0.000 0.596
Sm10 Sm 0.500 0.000 0.798
Sm11 Sm 0.500 0.500 0.101
Sm12 Sm 0.500 0.500 0.303
Sm13 Sm 0.500 0.500 0.500
Sm14 Sm 0.500 0.500 0.697
Sm15 Sm 0.500 0.500 0.899
Sc1 Sc 0.000 0.000 0.500
```

Principal peaks in the range 2θ = 15–90°, low angle first:
- 2θ 30.3, I = 100
- 2θ 35.1, I = 51
- 2θ 50.5, I = 36
- 2θ 60.0, I = 29
- 2θ 60.1, I = 13
- 2θ 63.0, I = 12
- 2θ 82.1, I = 6
- 2θ 82.2, I = 11
- 2θ 84.7, I = 11
- 2θ 84.9, I = 5

(3)
This entry pairs a crystal structure of In3H2Cl2 with its computed X-ray diffraction stick pattern. Radiation: Cu Kα. Structure: a GGA-PBE-relaxed structure.
Neutral-atom scattering factors, no anomalous dispersion.

Atomic structure:
```
data_In3H2Cl2
_chemical_formula_sum 'In3 H2 Cl2'
_cell_length_a 3.624
_cell_length_b 3.624
_cell_length_c 12.404
_cell_angle_alpha 97.10
_cell_angle_beta 97.10
_cell_angle_gamma 75.54
_symmetry_space_group_name_H-M 'P 1'
_symmetry_Int_Tables_number 1
loop_
_symmetry_equiv_pos_as_xyz
'x,y,z'
loop_
_atom_site_label
_atom_site_type_symbol
_atom_site_fract_x
_atom_site_fract_y
_atom_site_fract_z
In1 In 0.000 0.000 0.000
In2 In 0.370 0.370 0.619
In3 In 0.630 0.630 0.381
H1 H 0.318 0.318 0.040
H2 H 0.682 0.682 0.960
Cl1 Cl 0.053 0.053 0.776
Cl2 Cl 0.947 0.947 0.224
```

Principal peaks in the range 2θ = 15–90°, low angle first:
- 2θ 21.8, I = 32
- 2θ 27.2, I = 100
- 2θ 28.2, I = 26
- 2θ 31.3, I = 15
- 2θ 35.7, I = 15
- 2θ 36.7, I = 20
- 2θ 37.1, I = 40
- 2θ 40.6, I = 21
- 2θ 41.0, I = 19
- 2θ 52.7, I = 17

(4)
This entry pairs a crystal structure of SrZnGe2Pt5 with its computed X-ray diffraction stick pattern. Radiation: Cu Kα. Structure: a GGA-PBE-relaxed structure.
Neutral-atom scattering factors, no anomalous dispersion.

Atomic structure:
```
data_SrZnGe2Pt5
_chemical_formula_sum 'Sr1 Zn1 Ge2 Pt5'
_cell_length_a 4.153
_cell_length_b 4.153
_cell_length_c 10.649
_cell_angle_alpha 90.00
_cell_angle_beta 90.00
_cell_angle_gamma 90.00
_symmetry_space_group_name_H-M 'P 1'
_symmetry_Int_Tables_number 1
loop_
_symmetry_equiv_pos_as_xyz
'x,y,z'
loop_
_atom_site_label
_atom_site_type_symbol
_atom_site_fract_x
_atom_site_fract_y
_atom_site_fract_z
Sr1 Sr 0.000 0.000 0.000
Zn1 Zn 0.000 0.000 0.500
Ge1 Ge 0.500 0.500 0.228
Ge2 Ge 0.500 0.500 0.772
Pt1 Pt 0.000 0.500 0.353
Pt2 Pt 0.000 0.500 0.647
Pt3 Pt 0.500 0.000 0.353
Pt4 Pt 0.500 0.000 0.647
Pt5 Pt 0.500 0.500 0.000
```

Principal peaks in the range 2θ = 15–90°, low angle first:
- 2θ 25.1, I = 70
- 2θ 31.6, I = 100
- 2θ 34.9, I = 28
- 2θ 39.8, I = 36
- 2θ 43.6, I = 70
- 2θ 46.0, I = 96
- 2θ 51.0, I = 42
- 2θ 63.3, I = 23
- 2θ 69.6, I = 31
- 2θ 81.8, I = 36